The following is a theoretical powder XRD pattern of K2AlInBr6. It was derived from the GGA-PBE geometry in the Materials Project, using Cu Kα (weighted mean of Kα1 and Kα2).
No peak broadening, texture or thermal motion is included.

Largest 6 diffraction maxima, low angle first, 2θ from 5° to 70°:
| 2theta | intensity | index |
| --- | --- | --- |
| 15.7 | 64 | 2 0 0 |
| 27.4 | 69 | 2 2 2 |
| 31.8 | 100 | 4 0 0 |
| 34.7 | 30 | 3 3 1 |
| 35.6 | 26 | 4 2 0 |
| 45.6 | 64 | 4 4 0 |

Cell lengths 11.2652, 11.2652, 11.2652 Å; angles 90.00, 90.00, 90.00 degrees
Space group Fm-3m (No. 225)
Symmetry-distinct sites (fractional):
K 0.2500 0.2500 0.2500 x8
Al 0.0000 0.0000 0.0000 x4
In 0.0000 0.0000 0.5000 x4
Br 0.0000 0.0000 0.2249 x24


The following is a theoretical powder XRD pattern of Bi2Te2S. It was derived from the GGA-PBE geometry in the Materials Project, using Cu Kα (weighted mean of Kα1 and Kα2).
No peak broadening, texture or thermal motion is included.

Largest 6 diffraction maxima, low angle first, 2θ from 5° to 70°:
| 2theta | intensity | index |
| --- | --- | --- |
| 9.6 | 38 | 2 0 0 |
| 19.3 | 49 | 4 0 0 |
| 28.5 | 100 | 1 1 -1 |
| 31.8 | 21 | 5 1 0 |
| 34.4 | 28 | 3 1 1 |
| 59.0 | 23 | 2 2 -2 |

Cell lengths 18.8723, 4.3772, 4.4793 Å; angles 90.00, 102.40, 90.00 degrees
Space group C2/m (No. 12)
Symmetry-distinct sites (fractional):
Bi 0.1373 0.0000 0.1144 x4
Te 0.1760 0.5000 0.6622 x4
S 0.0000 0.0000 0.0000 x2


The following is a theoretical powder XRD pattern of CrFeSb4. It was derived from the GGA-PBE geometry in the Materials Project, using Cu Kα (weighted mean of Kα1 and Kα2).
No peak broadening, texture or thermal motion is included.

Largest 6 diffraction maxima, low angle first, 2θ from 5° to 70°:
| 2theta | intensity | index |
| --- | --- | --- |
| 30.7 | 100 | 1 0 2 |
| 31.6 | 44 | 1 1 0 |
| 33.0 | 32 | 2 0 -1 |
| 34.4 | 95 | 1 1 -1 |
| 43.6 | 43 | 2 1 1 |
| 49.7 | 40 | 0 1 3 |

Cell lengths 5.9436, 3.2244, 6.6907 Å; angles 90.00, 90.06, 90.00 degrees
Space group P2/m (No. 10)
Symmetry-distinct sites (fractional):
Cr 0.0000 0.0000 0.0000 x1
Fe 0.5000 0.5000 0.5000 x1
Sb 0.1970 0.0000 0.3662 x2
Sb 0.3223 0.5000 0.8479 x2


The following is a theoretical powder XRD pattern of Ce5In4Pt2. It was derived from the GGA-PBE geometry in the Materials Project, using Cu Kα (weighted mean of Kα1 and Kα2).
No peak broadening, texture or thermal motion is included.

Largest 6 diffraction maxima, low angle first, 2θ from 5° to 70°:
| 2theta | intensity | index |
| --- | --- | --- |
| 32.4 | 71 | 1 4 1 |
| 33.6 | 100 | 2 2 1 |
| 34.4 | 31 | 3 2 0 |
| 35.6 | 51 | 1 5 1 |
| 35.9 | 39 | 1 7 0 |
| 47.6 | 31 | 0 0 2 |

Cell lengths 8.1530, 18.4154, 3.8243 Å; angles 90.00, 90.00, 90.00 degrees
Space group Pbam (No. 55)
Symmetry-distinct sites (fractional):
Ce 0.0000 0.0000 0.0000 x2
Ce 0.1260 0.4207 0.0000 x4
Ce 0.2422 0.2225 0.0000 x4
In 0.0680 0.8521 0.5000 x4
In 0.2102 0.5699 0.5000 x4
Pt 0.0217 0.3048 0.5000 x4


The following is a theoretical powder XRD pattern of CaMn2S4. It was derived from the GGA-PBE geometry in the Materials Project, using Cu Kα (weighted mean of Kα1 and Kα2).
No peak broadening, texture or thermal motion is included.

Largest 6 diffraction maxima, low angle first, 2θ from 5° to 70°:
| 2theta | intensity | index |
| --- | --- | --- |
| 14.4 | 63 | 1 1 1 |
| 23.6 | 29 | 2 2 0 |
| 27.7 | 92 | 3 1 1 |
| 33.6 | 80 | 4 0 0 |
| 44.0 | 73 | 5 1 1 |
| 48.2 | 100 | 4 4 0 |

Cell lengths 10.6840, 10.6840, 10.6840 Å; angles 90.00, 90.00, 90.00 degrees
Space group Fd-3m (No. 227, origin choice 2)
Symmetry-distinct sites (fractional):
Ca 0.1250 0.1250 0.1250 x8
Mn 0.0000 0.0000 0.5000 x16
S 0.0184 0.0184 0.7316 x32


The following is a theoretical powder XRD pattern of LiCaBO3. It was derived from the GGA-PBE geometry in the Materials Project, using Cu Kα (weighted mean of Kα1 and Kα2).
No peak broadening, texture or thermal motion is included.

Largest 6 diffraction maxima, low angle first, 2θ from 5° to 70°:
| 2theta | intensity | index |
| --- | --- | --- |
| 29.0 | 93 | 0 2 0 |
| 29.2 | 87 | 2 0 0 |
| 33.8 | 96 | 1 1 4 |
| 40.3 | 69 | 0 0 6 |
| 41.6 | 100 | 2 2 0 |
| 54.5 | 51 | 1 3 4 |

Cell lengths 6.1074, 6.1620, 13.4149 Å; angles 90.00, 90.00, 90.00 degrees
Space group Ibca (No. 73)
Symmetry-distinct sites (fractional):
Li 0.2500 0.0194 0.0000 x8
Ca 0.0000 0.2500 0.1810 x8
B 0.0000 0.2500 0.3991 x8
O 0.0000 0.2500 0.0017 x8
O 0.1400 0.1124 0.8461 x16


The following is a theoretical powder XRD pattern of MgSn2O4. It was derived from the GGA-PBE geometry in the Materials Project, using Cu Kα (weighted mean of Kα1 and Kα2).
No peak broadening, texture or thermal motion is included.

Largest 6 diffraction maxima, low angle first, 2θ from 5° to 70°:
| 2theta | intensity | index |
| --- | --- | --- |
| 12.7 | 17 | 0 0 1 |
| 15.8 | 100 | 0 2 0 |
| 25.0 | 16 | 1 2 1 |
| 30.1 | 26 | 0 2 2 |
| 31.8 | 33 | 2 0 1 |
| 35.7 | 56 | 2 2 1 |

Cell lengths 6.1513, 11.1991, 6.9884 Å; angles 90.00, 90.00, 90.00 degrees
Space group Pmmn (No. 59, origin choice 2)
Symmetry-distinct sites (fractional):
Mg 0.2500 0.2500 0.0723 x2
Mg 0.2500 0.7500 0.7572 x2
Sn 0.0000 0.0000 0.0000 x4
Sn 0.2500 0.0477 0.4025 x4
O 0.0039 0.1314 0.2217 x8
O 0.2500 0.1034 0.8886 x4
O 0.2500 0.5794 0.1654 x4


The following is a theoretical powder XRD pattern of Ce2CN2O2. It was derived from the GGA-PBE geometry in the Materials Project, using Cu Kα (weighted mean of Kα1 and Kα2).
No peak broadening, texture or thermal motion is included.

Largest 6 diffraction maxima, low angle first, 2θ from 5° to 70°:
| 2theta | intensity | index |
| --- | --- | --- |
| 10.6 | 45 | 0 0 1 |
| 28.4 | 100 | 0 1 1 |
| 34.0 | 41 | 1 0 2 |
| 42.0 | 21 | 0 1 3 |
| 46.4 | 30 | 1 1 0 |
| 51.3 | 24 | 0 1 4 |

Cell lengths 3.9174, 3.9174, 8.3612 Å; angles 90.00, 90.00, 120.00 degrees
Space group P-3m1 (No. 164)
Symmetry-distinct sites (fractional):
Ce 0.3333 0.6667 0.3220 x2
C 0.0000 0.0000 0.0000 x1
N 0.0000 0.0000 0.1480 x2
O 0.3333 0.6667 0.6048 x2


The following is a theoretical powder XRD pattern of Ti2Co3Sn2. It was derived from the GGA-PBE geometry in the Materials Project, using Cu Kα (weighted mean of Kα1 and Kα2).
No peak broadening, texture or thermal motion is included.

Largest 6 diffraction maxima, low angle first, 2θ from 5° to 70°:
| 2theta | intensity | index |
| --- | --- | --- |
| 25.7 | 34 | 0 1 2 |
| 29.8 | 21 | 1 0 4 |
| 42.5 | 100 | 1 1 0 |
| 42.8 | 95 | 0 1 8 |
| 50.5 | 13 | 1 1 6 |
| 61.9 | 31 | 2 0 8 |

Cell lengths 4.2546, 4.2546, 20.6205 Å; angles 90.00, 90.00, 120.00 degrees
Space group R3m (No. 160, hexagonal axes)
Symmetry-distinct sites (fractional):
Ti 0.0000 0.0000 0.0000 x3
Ti 0.0000 0.0000 0.4932 x3
Co 0.0000 0.0000 0.1245 x3
Co 0.0000 0.0000 0.6187 x3
Co 0.0000 0.0000 0.8718 x3
Sn 0.0000 0.0000 0.2520 x3
Sn 0.0000 0.0000 0.7436 x3


The following is a theoretical powder XRD pattern of SrV7N10. It was derived from the GGA-PBE geometry in the Materials Project, using Cu Kα (weighted mean of Kα1 and Kα2).
No peak broadening, texture or thermal motion is included.

Largest 6 diffraction maxima, low angle first, 2θ from 5° to 70°:
| 2theta | intensity | index |
| --- | --- | --- |
| 18.3 | 55 | 1 1 -1 |
| 25.4 | 50 | 0 2 0 |
| 27.5 | 100 | 2 1 -1 |
| 28.8 | 70 | 1 2 -1 |
| 37.0 | 64 | 2 1 2 |
| 37.2 | 54 | 1 1 -4 |

Cell lengths 7.3707, 7.0115, 10.3541 Å; angles 90.00, 105.33, 90.00 degrees
Space group Pc (No. 7)
Symmetry-distinct sites (fractional):
Sr 0.0000 0.0335 0.0000 x2
V 0.1771 0.4099 0.4884 x2
V 0.3687 0.3681 0.8071 x2
V 0.4336 0.0262 0.4260 x2
V 0.5480 0.3858 0.0994 x2
V 0.6134 0.0124 0.2361 x2
V 0.7497 0.3766 0.3952 x2
V 0.9334 0.3510 0.7209 x2
N 0.1474 0.3808 0.8643 x2
N 0.2417 0.1870 0.4255 x2
N 0.3530 0.4895 0.6452 x2
N 0.4093 0.1205 0.7691 x2
N 0.4879 0.1313 0.0754 x2
N 0.5925 0.4467 0.9347 x2
N 0.6497 0.1404 0.4048 x2
N 0.7722 0.4511 0.2232 x2
N 0.8256 0.1280 0.7464 x2
N 0.9653 0.3438 0.5434 x2


The following is a theoretical powder XRD pattern of U4Fe. It was derived from the GGA-PBE geometry in the Materials Project, using Cu Kα (weighted mean of Kα1 and Kα2).
No peak broadening, texture or thermal motion is included.

Largest 6 diffraction maxima, low angle first, 2θ from 5° to 70°:
| 2theta | intensity | index |
| --- | --- | --- |
| 32.7 | 100 | 2 2 2 |
| 37.9 | 39 | 4 0 0 |
| 41.5 | 24 | 3 3 1 |
| 50.0 | 36 | 3 3 3 |
| 54.7 | 28 | 4 4 0 |
| 65.2 | 21 | 6 2 2 |

Cell lengths 9.4874, 9.4874, 9.4874 Å; angles 90.00, 90.00, 90.00 degrees
Space group Fd-3m (No. 227, origin choice 2)
Symmetry-distinct sites (fractional):
U 0.0221 0.0221 0.2279 x32
Fe 0.1250 0.1250 0.6250 x8


The following is a theoretical powder XRD pattern of CeSnAu. It was derived from the GGA-PBE geometry in the Materials Project, using Cu Kα (weighted mean of Kα1 and Kα2).
No peak broadening, texture or thermal motion is included.

Largest 6 diffraction maxima, low angle first, 2θ from 5° to 70°:
| 2theta | intensity | index |
| --- | --- | --- |
| 24.4 | 26 | 1 0 1 |
| 31.8 | 100 | 1 0 2 |
| 37.4 | 94 | 1 1 0 |
| 41.7 | 29 | 1 0 3 |
| 49.9 | 29 | 2 0 2 |
| 64.0 | 27 | 2 1 2 |

Cell lengths 4.8079, 4.8079, 7.6190 Å; angles 90.00, 90.00, 120.00 degrees
Space group P6_3mc (No. 186)
Symmetry-distinct sites (fractional):
Ce 0.0000 0.0000 0.0000 x2
Sn 0.3333 0.6667 0.2736 x2
Au 0.3333 0.6667 0.6848 x2